Entry 1:
For Cs2Mn3Cl9, a structure optimized by DFT (GGA-PBE) gives the simulated powder X-ray diffraction pattern in this record (Cu Kα).
Kinematic intensities with the Lorentz-polarization factor, no thermal factor.

Main lines, in order of rising 2θ (10° ≤ 2θ ≤ 90°):
d/Å, I/Imax
8.518, 39
5.125, 59
4.694, 100
3.996, 98
3.759, 74
3.231, 37
3.183, 51
2.870, 81
2.542, 42
2.425, 38

Crystal structure
```
Cs2Mn3Cl9
1.0
5.849 -8.904 0.000
5.849 8.904 0.000
-5.370 0.000 9.388
Cs Mn Cl
4 6 18
Direct
0.075 0.754 0.701
0.246 0.925 0.299
0.754 0.075 0.701
0.925 0.246 0.299
0.215 0.442 0.813
0.359 0.359 0.158
0.442 0.215 0.813
0.558 0.785 0.187
0.641 0.641 0.842
0.785 0.558 0.187
0.019 0.611 0.342
0.142 0.336 0.966
0.216 0.216 0.692
0.232 0.232 0.267
0.310 0.690 0.000
0.336 0.142 0.966
0.371 0.566 0.717
0.389 0.981 0.658
0.434 0.629 0.283
0.566 0.371 0.717
0.611 0.019 0.342
0.629 0.434 0.283
0.664 0.858 0.034
0.690 0.310 0.000
0.768 0.768 0.733
0.784 0.784 0.308
0.858 0.664 0.034
0.981 0.389 0.658
```

=====

Entry 2:
For CsMn4Cl8, a structure optimized by DFT (GGA-PBE) gives the simulated powder X-ray diffraction pattern in this record (Cu Kα).
Kinematic intensities with the Lorentz-polarization factor, no thermal factor.

Main lines, in order of rising 2θ (10° ≤ 2θ ≤ 90°):
d/Å, I/Imax
8.474, 100
5.982, 44
4.242, 23
3.198, 20
3.002, 21
2.984, 24
2.569, 35
2.544, 66
1.846, 36
1.772, 21

Crystal structure
```
CsMn4Cl8
1.0
6.397 -3.692 0.000
6.397 3.692 0.000
-6.284 0.000 8.474
Cs Mn Cl
1 4 8
Direct
0.000 0.000 0.000
0.254 0.746 0.500
0.255 0.255 0.506
0.745 0.745 0.494
0.746 0.254 0.500
0.002 0.499 0.331
0.003 0.003 0.335
0.499 0.002 0.331
0.499 0.499 0.329
0.501 0.501 0.671
0.501 0.998 0.669
0.997 0.997 0.665
0.998 0.501 0.669
```

=====

Entry 3:
For Cs2MnNiCl6, a structure optimized by DFT (GGA-PBE) gives the simulated powder X-ray diffraction pattern in this record (Cu Kα).
Kinematic intensities with the Lorentz-polarization factor, no thermal factor.

Main lines, in order of rising 2θ (10° ≤ 2θ ≤ 90°):
d/Å, I/Imax
3.956, 52
3.641, 100
3.100, 25
2.965, 28
2.882, 63
2.679, 81
2.359, 27
2.102, 25
1.979, 27
1.821, 42

Crystal structure
```
Cs2MnNiCl6
1.0
3.641 2.102 11.853
-3.641 2.102 11.853
0.000 -4.205 11.853
Cs Mn Ni Cl
4 2 2 12
Direct
0.126 0.126 0.126
0.291 0.291 0.291
0.709 0.709 0.709
0.874 0.874 0.874
0.412 0.412 0.412
0.588 0.588 0.588
0.000 0.000 0.000
0.500 0.500 0.500
0.154 0.611 0.611
0.201 0.201 0.717
0.201 0.717 0.201
0.283 0.799 0.799
0.389 0.389 0.846
0.389 0.846 0.389
0.611 0.154 0.611
0.611 0.611 0.154
0.717 0.201 0.201
0.799 0.283 0.799
0.799 0.799 0.283
0.846 0.389 0.389
```

=====

Entry 4:
For CsMnNi2Cl8, a structure optimized by DFT (GGA-PBE) gives the simulated powder X-ray diffraction pattern in this record (Cu Kα).
Kinematic intensities with the Lorentz-polarization factor, no thermal factor.

Main lines, in order of rising 2θ (10° ≤ 2θ ≤ 90°):
d/Å, I/Imax
4.352, 100
3.277, 22
3.113, 33
2.968, 31
2.630, 25
2.532, 20
1.964, 23
1.929, 15
1.797, 24
1.465, 12

Crystal structure
```
CsMnNi2Cl8
1.0
3.113 1.797 9.830
-3.113 1.797 9.830
0.000 -3.595 9.830
Cs Mn Ni Cl
1 1 2 8
Direct
0.000 0.000 0.000
0.500 0.500 0.500
0.231 0.231 0.231
0.769 0.769 0.769
0.153 0.757 0.452
0.243 0.548 0.847
0.305 0.305 0.305
0.452 0.153 0.757
0.548 0.847 0.243
0.695 0.695 0.695
0.757 0.452 0.153
0.847 0.243 0.548
```

=====

Entry 5:
For CsMn2NiCl8, a structure optimized by DFT (GGA-PBE) gives the simulated powder X-ray diffraction pattern in this record (Cu Kα).
Kinematic intensities with the Lorentz-polarization factor, no thermal factor.

Main lines, in order of rising 2θ (10° ≤ 2θ ≤ 90°):
d/Å, I/Imax
4.581, 100
3.450, 40
3.243, 19
3.171, 16
2.793, 15
2.291, 19
2.153, 26
1.958, 22
1.725, 12
1.614, 12

Crystal structure
```
CsMn2NiCl8
1.0
3.450 1.992 9.514
-3.450 1.992 9.514
0.000 -3.984 9.514
Cs Mn Ni Cl
1 2 1 8
Direct
0.000 0.000 0.000
0.242 0.242 0.242
0.758 0.758 0.758
0.500 0.500 0.500
0.138 0.553 0.651
0.320 0.320 0.320
0.349 0.447 0.862
0.447 0.862 0.349
0.553 0.651 0.138
0.651 0.138 0.553
0.680 0.680 0.680
0.862 0.349 0.447
```